The following is a computed powder X-ray diffraction pattern of Li2V3CoO8. It was derived from a GGA+U-relaxed structure, using Cu Kα.

Crystal structure
```
Li2V3CoO8
1.0
5.153 -2.966 0.000
5.153 2.966 0.000
-3.429 0.000 9.707
Li V Co O
4 6 2 16
Cartesian
3.439 1.520 4.853
5.232 1.451 1.844
5.153 -1.520 0.000
3.518 -1.451 6.698
0.052 1.515 9.161
0.971 0.044 6.650
2.686 -0.044 1.797
1.766 -1.515 4.307
6.063 0.096 6.719
7.777 -0.096 1.866
3.566 1.501 8.539
5.280 -1.501 3.686
3.376 1.530 2.857
1.662 1.530 7.864
-0.567 0.120 7.903
1.147 -0.120 3.050
4.132 0.039 0.705
2.418 -0.039 5.558
5.324 1.538 5.522
7.047 1.387 0.808
1.662 -1.530 7.711
3.376 -1.530 3.011
6.217 0.108 3.050
4.503 -0.108 7.903
7.630 0.205 5.423
5.332 -1.387 5.661
9.345 -0.205 0.570
7.039 -1.538 0.669
```

Principal peaks in the range 10° ≤ 2θ ≤ 90°, most intense first:
d_spacing	I/Imax
2.533	1000
4.857	655
1.486	398
2.101	338
4.202	318
2.973	313



The following is a computed powder X-ray diffraction pattern of Li2V3CoO8. It was derived from a GGA+U-relaxed structure, using Cu Kα.

Crystal structure
```
Li2V3CoO8
1.0
8.411 0.000 0.000
0.000 8.411 0.000
0.000 0.000 8.411
Li V Co O
8 12 4 32
Cartesian
1.067 1.067 1.067
2.089 2.116 6.295
2.116 6.295 2.089
3.138 7.344 5.273
5.273 3.138 7.344
6.295 2.089 2.116
6.322 6.322 6.322
7.344 5.273 3.138
1.008 5.258 5.232
1.027 3.197 3.153
1.052 7.384 7.402
3.153 1.027 3.197
3.178 5.214 7.359
3.197 3.153 1.027
5.214 7.359 3.178
5.232 1.008 5.258
5.258 5.232 1.008
7.359 3.178 5.214
7.384 7.402 1.052
7.402 1.052 7.384
0.004 8.407 4.201
8.407 4.201 0.004
4.201 0.004 8.407
4.210 4.210 4.210
0.860 0.913 7.325
0.913 7.325 0.860
0.949 3.256 5.155
1.018 7.224 5.429
1.086 5.065 3.293
1.150 5.355 7.261
1.187 1.223 3.187
1.223 3.187 1.187
2.982 5.223 5.393
3.018 7.188 7.393
3.056 3.056 3.056
3.120 3.346 7.498
3.187 1.187 1.223
3.256 5.155 0.949
3.293 1.086 5.065
3.346 7.498 3.120
5.065 3.293 1.086
5.118 5.291 7.551
5.155 0.949 3.256
5.223 5.393 2.982
5.291 7.551 5.118
5.355 7.261 1.150
5.393 2.982 5.223
5.429 1.018 7.224
7.188 7.393 3.018
7.224 5.429 1.018
7.261 1.150 5.355
7.325 0.860 0.913
7.393 3.018 7.188
7.462 7.462 7.462
7.498 3.120 3.346
7.551 5.118 5.291
```

Principal peaks in the range 10° ≤ 2θ ≤ 90°, most intense first:
d_spacing	I/Imax
2.536	1000
1.487	524
4.856	407
1.619	405
2.103	365
2.974	235



The following is a computed powder X-ray diffraction pattern of Li2V3CoO8. It was derived from a GGA+U-relaxed structure, using Cu Kα.

Crystal structure
```
Li2V3CoO8
1.0
5.931 0.000 0.000
2.919 5.166 0.000
2.684 1.605 9.556
Li V Co O
4 6 2 16
Cartesian
0.000 0.000 0.000
2.730 1.627 5.941
5.810 3.387 4.727
5.921 3.452 1.221
4.166 4.201 7.762
1.447 0.845 2.926
2.929 3.435 2.989
5.638 1.599 7.732
7.144 4.167 7.781
4.429 0.849 2.990
2.984 1.739 0.590
8.671 5.058 5.333
4.197 4.273 4.042
4.315 2.636 8.869
2.920 1.702 4.003
5.715 4.868 8.866
4.266 2.473 1.814
5.664 3.333 6.719
5.918 5.390 1.778
7.258 5.908 6.741
6.944 2.520 8.870
8.619 5.053 8.801
5.795 1.525 4.061
7.393 4.315 4.019
8.559 3.482 6.722
9.991 5.785 6.697
8.795 5.134 1.928
7.614 2.519 1.777
```

Principal peaks in the range 10° ≤ 2θ ≤ 90°, most intense first:
d_spacing	I/Imax
4.835	1000
4.870	544
4.778	372
2.113	371
2.108	369
2.054	337



The following is a computed powder X-ray diffraction pattern of Li2V5CoO12. It was derived from a GGA+U-relaxed structure, using Cu Kα.

Crystal structure
```
Li2V5CoO12
1.0
5.472 -4.238 0.000
5.472 4.238 0.000
-2.178 0.000 5.245
Li V Co O
2 5 1 12
Cartesian
0.000 0.000 0.000
4.383 -0.537 2.622
1.311 0.918 2.897
4.383 2.549 2.622
0.955 -1.595 5.158
7.455 0.918 2.348
7.812 -1.595 0.087
5.472 1.098 0.000
4.044 2.623 0.579
0.369 -0.607 2.327
3.203 0.983 3.187
4.723 2.623 4.666
1.515 0.026 4.891
5.563 0.983 2.058
3.200 -1.917 1.642
1.978 -2.697 4.294
7.251 0.026 0.354
5.566 -1.917 3.602
8.398 -0.607 2.917
6.789 -2.697 0.951
```

Principal peaks in the range 10° ≤ 2θ ≤ 90°, most intense first:
d_spacing	I/Imax
3.129	1000
6.495	317
4.683	225
2.622	220
2.498	189
1.730	177